Starting from a DFT-relaxed cell (GGA-PBE, Alexandria), the powder X-ray diffraction pattern of CaYHo was computed for Cu Ka.
Peak positions follow from Bragg's law for the DFT cell and can differ from measured ones.

```
6
Lattice="3.6036 0.0000 0.0000 -0.0015 5.5015 0.0000 -1.7977 -0.0256 10.5726" Properties=species:S:1:pos:R:3 pbc="T T T"
Ca 0.0031 1.3653 4.3151
Ca 1.8012 4.1106 6.2575
Y 0.0051 1.3523 8.3435
Y 1.7992 4.1235 2.2291
Ho -0.0033 1.3725 0.8312
Ho 1.8076 4.1034 9.7414
```

Principal peaks in the range 10 to 90 degrees two-theta, sorted by position:
- (-1 1 1), 29.9°, I = 52
- (0 1 3), 30.1°, I = 100
- (1 1 -2), 32.3°, I = 62
- (0 2 0), 32.6°, I = 67
- (1 -1 2), 36.6°, I = 33
- (0 1 -4), 37.8°, I = 28